1.
Theoretical powder diffractogram of Tl7In2Sn3 for CuKα, from a PBE-relaxed structure.

```
data_Tl7In2Sn3
_cell_length_a 6.5473
_cell_length_b 3.3178
_cell_length_c 16.4509
_cell_angle_alpha 90.00
_cell_angle_beta 93.29
_cell_angle_gamma 90.00
_space_group_name_H-M_alt 'P 1'
_space_group_IT_number 1
loop_
_space_group_symop_operation_xyz
'x,y,z'
loop_
_atom_site_label
_atom_site_fract_x
_atom_site_fract_y
_atom_site_fract_z
Tl1 0.0000 0.0000 0.0000
Tl2 0.2294 0.5000 0.1715
Tl3 0.2511 0.5000 0.4919
Tl4 0.2766 0.0000 0.8350
Tl5 0.7234 0.0000 0.1650
Tl6 0.7489 0.5000 0.5081
Tl7 0.7706 0.5000 0.8285
In1 0.0574 0.5000 0.6708
In2 0.9426 0.5000 0.3292
Sn1 0.4706 0.0000 0.3368
Sn2 0.5000 0.5000 0.0000
Sn3 0.5294 0.0000 0.6632
```

Most intense lines, 2θ from 5° to 70°, low angle first:
- 2θ = 30.85°, I 37
- 2θ = 31.05°, I 55
- 2θ = 32.43°, I 51
- 2θ = 32.71°, I 100
- 2θ = 36.99°, I 44
- 2θ = 50.13°, I 22
- 2θ = 56.29°, I 22
- 2θ = 65.83°, I 28

2.
Theoretical powder diffractogram of Ba8Na3Rh for CuKα, from a PBE-relaxed structure.

```
data_Ba8Na3Rh
_cell_length_a 12.6072
_cell_length_b 12.6072
_cell_length_c 8.8988
_cell_angle_alpha 90.00
_cell_angle_beta 90.00
_cell_angle_gamma 120.00
_space_group_name_H-M_alt 'P 1'
_space_group_IT_number 1
loop_
_space_group_symop_operation_xyz
'x,y,z'
loop_
_atom_site_label
_atom_site_fract_x
_atom_site_fract_y
_atom_site_fract_z
Ba1 0.0000 0.0000 0.2810
Ba2 0.0000 0.0000 0.7810
Ba3 0.0990 0.5495 0.3095
Ba4 0.1854 0.3709 0.0000
Ba5 0.1854 0.8146 0.0000
Ba6 0.3333 0.6667 0.7339
Ba7 0.3709 0.1854 0.5000
Ba8 0.4505 0.5495 0.3095
Ba9 0.4505 0.9010 0.3095
Ba10 0.5495 0.0990 0.8095
Ba11 0.5495 0.4505 0.8095
Ba12 0.6291 0.8146 0.0000
Ba13 0.6667 0.3333 0.2339
Ba14 0.8146 0.1854 0.5000
Ba15 0.8146 0.6291 0.5000
Ba16 0.9010 0.4505 0.8095
Na1 0.1620 0.3240 0.5576
Na2 0.1620 0.8380 0.5576
Na3 0.3240 0.1620 0.0576
Na4 0.6760 0.8380 0.5576
Na5 0.8380 0.1620 0.0576
Na6 0.8380 0.6760 0.0576
Rh1 0.3333 0.6667 0.0947
Rh2 0.6667 0.3333 0.5947
```

Most intense lines, 2θ from 5° to 70°, low angle first:
- 2θ = 12.83°, I 38
- 2θ = 23.77°, I 76
- 2θ = 24.49°, I 39
- 2θ = 25.83°, I 100
- 2θ = 26.46°, I 55
- 2θ = 28.32°, I 83
- 2θ = 37.32°, I 36
- 2θ = 43.06°, I 37

3.
Theoretical powder diffractogram of TmCu11Si for CuKα, from a PBE-relaxed structure.

```
data_TmCu11Si
_cell_length_a 6.4247
_cell_length_b 6.4247
_cell_length_c 6.4302
_cell_angle_alpha 97.53
_cell_angle_beta 97.53
_cell_angle_gamma 136.30
_space_group_name_H-M_alt 'P 1'
_space_group_IT_number 1
loop_
_space_group_symop_operation_xyz
'x,y,z'
loop_
_atom_site_label
_atom_site_fract_x
_atom_site_fract_y
_atom_site_fract_z
Tm1 0.0000 0.0000 0.0000
Cu1 0.0000 0.0000 0.5000
Cu2 0.0000 0.5000 0.0000
Cu3 0.0062 0.6520 0.6465
Cu4 0.2880 0.5067 0.7794
Cu5 0.3480 0.9938 0.3535
Cu6 0.4933 0.7120 0.2206
Cu7 0.5000 0.0000 0.0000
Cu8 0.5067 0.2880 0.7794
Cu9 0.6520 0.0062 0.6465
Cu10 0.7120 0.4933 0.2206
Cu11 0.9938 0.3480 0.3535
Si1 0.5000 0.5000 0.5000
```

Most intense lines, 2θ from 5° to 70°, low angle first:
- 2θ = 36.72°, I 30
- 2θ = 37.22°, I 41
- 2θ = 37.63°, I 29
- 2θ = 42.36°, I 44
- 2θ = 42.69°, I 75
- 2θ = 42.97°, I 45
- 2θ = 43.14°, I 100
- 2θ = 43.76°, I 43

4.
Theoretical powder diffractogram of Y2TiPb2 for CuKα, from a PBE-relaxed structure.

```
data_Y2TiPb2
_cell_length_a 7.6931
_cell_length_b 7.6931
_cell_length_c 4.5545
_cell_angle_alpha 90.00
_cell_angle_beta 90.00
_cell_angle_gamma 90.00
_space_group_name_H-M_alt 'P 1'
_space_group_IT_number 1
loop_
_space_group_symop_operation_xyz
'x,y,z'
loop_
_atom_site_label
_atom_site_fract_x
_atom_site_fract_y
_atom_site_fract_z
Y1 0.1714 0.3286 0.0000
Y2 0.3286 0.8286 0.0000
Y3 0.6714 0.1714 0.0000
Y4 0.8286 0.6714 0.0000
Ti1 0.0000 0.0000 0.5000
Ti2 0.5000 0.5000 0.5000
Pb1 0.1399 0.6399 0.5000
Pb2 0.3601 0.1399 0.5000
Pb3 0.6399 0.8601 0.5000
Pb4 0.8601 0.3601 0.5000
```

Most intense lines, 2θ from 5° to 70°, low angle first:
- 2θ = 16.29°, I 16
- 2θ = 19.49°, I 16
- 2θ = 25.90°, I 14
- 2θ = 32.62°, I 100
- 2θ = 36.95°, I 24
- 2θ = 39.58°, I 15
- 2θ = 55.25°, I 15
- 2θ = 68.88°, I 15

5.
Theoretical powder diffractogram of NiP3Pt for CuKα, from a PBE-relaxed structure.

```
data_NiP3Pt
_cell_length_a 4.3267
_cell_length_b 4.3267
_cell_length_c 4.3267
_cell_angle_alpha 90.00
_cell_angle_beta 90.00
_cell_angle_gamma 90.00
_space_group_name_H-M_alt 'P 1'
_space_group_IT_number 1
loop_
_space_group_symop_operation_xyz
'x,y,z'
loop_
_atom_site_label
_atom_site_fract_x
_atom_site_fract_y
_atom_site_fract_z
Ni1 0.0000 0.0000 0.0000
P1 0.0000 0.0000 0.5000
P2 0.0000 0.5000 0.0000
P3 0.5000 0.0000 0.0000
Pt1 0.5000 0.5000 0.5000
```

Most intense lines, 2θ from 5° to 70°, low angle first:
- 2θ = 20.53°, I 19
- 2θ = 29.19°, I 100
- 2θ = 35.95°, I 36
- 2θ = 41.75°, I 45
- 2θ = 46.96°, I 11
- 2θ = 51.75°, I 42
- 2θ = 60.53°, I 29
- 2θ = 68.59°, I 18

6.
Theoretical powder diffractogram of AcY5Bi6 for CuKα, from a PBE-relaxed structure.

```
data_AcY5Bi6
_cell_length_a 7.8904
_cell_length_b 7.8904
_cell_length_c 7.8919
_cell_angle_alpha 99.65
_cell_angle_beta 99.65
_cell_angle_gamma 120.01
_space_group_name_H-M_alt 'P 1'
_space_group_IT_number 1
loop_
_space_group_symop_operation_xyz
'x,y,z'
loop_
_atom_site_label
_atom_site_fract_x
_atom_site_fract_y
_atom_site_fract_z
Ac1 0.0000 0.0000 0.0000
Y1 0.1613 0.8387 0.5000
Y2 0.3314 0.6686 0.0000
Y3 0.5000 0.5000 0.5000
Y4 0.6686 0.3314 0.0000
Y5 0.8387 0.1613 0.5000
Bi1 0.0868 0.4327 0.2593
Bi2 0.2621 0.2621 0.7461
Bi3 0.4327 0.0868 0.2593
Bi4 0.5673 0.9132 0.7407
Bi5 0.7379 0.7379 0.2539
Bi6 0.9132 0.5673 0.7407
```

Most intense lines, 2θ from 5° to 70°, low angle first:
- 2θ = 23.93°, I 15
- 2θ = 27.70°, I 100
- 2θ = 39.57°, I 77
- 2θ = 46.76°, I 6
- 2θ = 48.99°, I 28
- 2θ = 57.21°, I 13
- 2θ = 64.67°, I 12
- 2θ = 64.75°, I 24

7.
Theoretical powder diffractogram of Tc5Pb for CuKα, from a PBE-relaxed structure.

```
data_Tc5Pb
_cell_length_a 3.9866
_cell_length_b 11.9697
_cell_length_c 4.0176
_cell_angle_alpha 90.00
_cell_angle_beta 90.00
_cell_angle_gamma 90.00
_space_group_name_H-M_alt 'P 1'
_space_group_IT_number 1
loop_
_space_group_symop_operation_xyz
'x,y,z'
loop_
_atom_site_label
_atom_site_fract_x
_atom_site_fract_y
_atom_site_fract_z
Tc1 0.0000 0.0000 0.0000
Tc2 0.0000 0.1811 0.5000
Tc3 0.0000 0.3234 0.0000
Tc4 0.0000 0.6766 0.0000
Tc5 0.0000 0.8189 0.5000
Tc6 0.5000 0.1766 0.0000
Tc7 0.5000 0.3189 0.5000
Tc8 0.5000 0.5000 0.0000
Tc9 0.5000 0.6811 0.5000
Tc10 0.5000 0.8234 0.0000
Pb1 0.0000 0.5000 0.5000
Pb2 0.5000 0.0000 0.5000
```

Most intense lines, 2θ from 5° to 70°, low angle first:
- 2θ = 29.86°, I 5
- 2θ = 32.51°, I 6
- 2θ = 39.02°, I 100
- 2θ = 45.14°, I 17
- 2θ = 45.49°, I 31
- 2θ = 63.57°, I 5
- 2θ = 66.01°, I 20
- 2θ = 66.29°, I 9

8.
Theoretical powder diffractogram of PmPr3In3 for CuKα, from a PBE-relaxed structure.

```
data_PmPr3In3
_cell_length_a 9.6412
_cell_length_b 9.6412
_cell_length_c 9.6412
_cell_angle_alpha 90.00
_cell_angle_beta 90.00
_cell_angle_gamma 90.00
_space_group_name_H-M_alt 'P 1'
_space_group_IT_number 1
loop_
_space_group_symop_operation_xyz
'x,y,z'
loop_
_atom_site_label
_atom_site_fract_x
_atom_site_fract_y
_atom_site_fract_z
Pm1 0.0754 0.4246 0.5754
Pm2 0.4246 0.5754 0.0754
Pm3 0.5754 0.0754 0.4246
Pm4 0.9246 0.9246 0.9246
Pr1 0.0729 0.5729 0.9271
Pr2 0.1737 0.1737 0.1737
Pr3 0.1752 0.8248 0.3248
Pr4 0.3248 0.1752 0.8248
Pr5 0.3263 0.8263 0.6737
Pr6 0.4271 0.4271 0.4271
Pr7 0.5729 0.9271 0.0729
Pr8 0.6737 0.3263 0.8263
Pr9 0.6752 0.6752 0.6752
Pr10 0.8248 0.3248 0.1752
Pr11 0.8263 0.6737 0.3263
Pr12 0.9271 0.0729 0.5729
In1 0.0011 0.7478 0.6277
In2 0.1277 0.4989 0.2522
In3 0.2478 0.8723 0.9989
In4 0.2522 0.1277 0.4989
In5 0.3723 0.5011 0.7522
In6 0.4989 0.2522 0.1277
In7 0.5011 0.7522 0.3723
In8 0.6277 0.0011 0.7478
In9 0.7478 0.6277 0.0011
In10 0.7522 0.3723 0.5011
In11 0.8723 0.9989 0.2478
In12 0.9989 0.2478 0.8723
```

Most intense lines, 2θ from 5° to 70°, low angle first:
- 2θ = 29.29°, I 100
- 2θ = 34.82°, I 73
- 2θ = 41.91°, I 11
- 2θ = 46.12°, I 19
- 2θ = 48.12°, I 21
- 2θ = 59.06°, I 26
- 2θ = 60.76°, I 12
- 2θ = 62.42°, I 15

9.
Theoretical powder diffractogram of Rb2Ta2AgO7 for CuKα, from a PBE-relaxed structure.

```
data_Rb2Ta2AgO7
_cell_length_a 11.8048
_cell_length_b 11.8048
_cell_length_c 11.8048
_cell_angle_alpha 160.37
_cell_angle_beta 160.37
_cell_angle_gamma 27.89
_space_group_name_H-M_alt 'P 1'
_space_group_IT_number 1
loop_
_space_group_symop_operation_xyz
'x,y,z'
loop_
_atom_site_label
_atom_site_fract_x
_atom_site_fract_y
_atom_site_fract_z
Rb1 0.1915 0.1915 0.0000
Rb2 0.8085 0.8085 0.0000
Ta1 0.4084 0.4084 0.0000
Ta2 0.5916 0.5916 0.0000
Ag1 0.0000 0.0000 0.0000
O1 0.0863 0.5863 0.5000
O2 0.3260 0.3260 0.0000
O3 0.4137 0.9137 0.5000
O4 0.5000 0.5000 0.0000
O5 0.5863 0.0863 0.5000
O6 0.6740 0.6740 0.0000
O7 0.9137 0.4137 0.5000
```

Most intense lines, 2θ from 5° to 70°, low angle first:
- 2θ = 7.72°, I 38
- 2θ = 22.43°, I 14
- 2θ = 29.54°, I 100
- 2θ = 31.44°, I 49
- 2θ = 45.06°, I 26
- 2θ = 51.19°, I 19
- 2θ = 54.81°, I 36
- 2θ = 61.32°, I 14

10.
Theoretical powder diffractogram of TlSb2S4 for CuKα, from a PBE-relaxed structure.

```
data_TlSb2S4
_cell_length_a 8.0518
_cell_length_b 8.0518
_cell_length_c 7.8858
_cell_angle_alpha 115.61
_cell_angle_beta 115.61
_cell_angle_gamma 85.18
_space_group_name_H-M_alt 'P 1'
_space_group_IT_number 1
loop_
_space_group_symop_operation_xyz
'x,y,z'
loop_
_atom_site_label
_atom_site_fract_x
_atom_site_fract_y
_atom_site_fract_z
Tl1 0.0000 0.0000 0.0000
Tl2 0.8612 0.1388 0.5000
Sb1 0.3287 0.6351 0.2176
Sb2 0.3649 0.6713 0.7824
Sb3 0.4586 0.1669 0.7933
Sb4 0.8331 0.5414 0.2067
S1 0.0838 0.8530 0.2531
S2 0.1015 0.3560 0.2546
S3 0.1470 0.9162 0.7469
S4 0.1699 0.4743 0.8268
S5 0.5257 0.8301 0.1732
S6 0.5977 0.3210 0.1836
S7 0.6440 0.8985 0.7454
S8 0.6790 0.4023 0.8164
```

Most intense lines, 2θ from 5° to 70°, low angle first:
- 2θ = 18.49°, I 67
- 2θ = 22.33°, I 86
- 2θ = 24.72°, I 42
- 2θ = 25.04°, I 77
- 2θ = 26.23°, I 39
- 2θ = 26.64°, I 87
- 2θ = 27.05°, I 100
- 2θ = 35.43°, I 45

11.
Theoretical powder diffractogram of Tm12Tl3Zn for CuKα, from a PBE-relaxed structure.

```
data_Tm12Tl3Zn
_cell_length_a 4.7669
_cell_length_b 4.7669
_cell_length_c 19.0454
_cell_angle_alpha 90.00
_cell_angle_beta 90.00
_cell_angle_gamma 90.00
_space_group_name_H-M_alt 'P 1'
_space_group_IT_number 1
loop_
_space_group_symop_operation_xyz
'x,y,z'
loop_
_atom_site_label
_atom_site_fract_x
_atom_site_fract_y
_atom_site_fract_z
Tm1 0.0000 0.0000 0.0000
Tm2 0.0000 0.0000 0.2467
Tm3 0.0000 0.0000 0.5000
Tm4 0.0000 0.0000 0.7533
Tm5 0.0000 0.5000 0.1190
Tm6 0.0000 0.5000 0.3739
Tm7 0.0000 0.5000 0.6261
Tm8 0.0000 0.5000 0.8810
Tm9 0.5000 0.0000 0.1190
Tm10 0.5000 0.0000 0.3739
Tm11 0.5000 0.0000 0.6261
Tm12 0.5000 0.0000 0.8810
Tl1 0.5000 0.5000 0.2469
Tl2 0.5000 0.5000 0.5000
Tl3 0.5000 0.5000 0.7531
Zn1 0.5000 0.5000 0.0000
```

Most intense lines, 2θ from 5° to 70°, low angle first:
- 2θ = 28.09°, I 1
- 2θ = 30.02°, I 1
- 2θ = 32.55°, I 100
- 2θ = 37.76°, I 50
- 2θ = 54.46°, I 35
- 2θ = 60.07°, I 1
- 2θ = 64.90°, I 41
- 2θ = 68.17°, I 12